1.
Diffraction record for PrH2Pd2. The powder X-ray diffraction pattern is calculated, not measured: it uses the GGA-PBE geometry in Alexandria and Cu Kα X-rays.

Structural model:
a = 4.6537 Å, b = 4.6537 Å, c = 3.7174 Å
α = 90.00°, β = 90.00°, γ = 120.00°
Sites, in units of the cell vectors:
Pr  0.0000  0.0000  0.0000
H  0.3333  0.6667  0.0000
H  0.6667  0.3333  0.0000
Pd  0.3333  0.6667  0.5000
Pd  0.6667  0.3333  0.5000

Principal peaks in the range 2θ = 15–90°, sorted by position:
2θ/deg, d [Å], I_rel
23.9, 3.717, 3
32.8, 2.733, 100
38.7, 2.327, 67
49.0, 1.859, 11
51.6, 1.772, 28
64.1, 1.452, 29
66.3, 1.410, 26
70.0, 1.343, 11
81.2, 1.184, 7
83.0, 1.163, 7


2.
Diffraction record for TaSb2Br. The powder X-ray diffraction pattern is calculated, not measured: it uses the GGA-PBE geometry in Alexandria and Cu Kα X-rays.

Structural model:
a = 3.4531 Å, b = 3.4531 Å, c = 29.7609 Å
α = 90.00°, β = 90.00°, γ = 120.00°
Sites, in units of the cell vectors:
Ta  0.0000  0.0000  0.0000
Ta  0.3333  0.6667  0.6667
Ta  0.6667  0.3333  0.3333
Sb  0.0000  0.0000  0.2668
Sb  0.0000  0.0000  0.5171
Sb  0.3333  0.6667  0.1837
Sb  0.3333  0.6667  0.9335
Sb  0.6667  0.3333  0.6002
Sb  0.6667  0.3333  0.8504
Br  0.0000  0.0000  0.7278
Br  0.3333  0.6667  0.3945
Br  0.6667  0.3333  0.0612

Principal peaks in the range 2θ = 15–90°, sorted by position:
2θ/deg, d [Å], I_rel
17.9, 4.960, 12
32.3, 2.775, 100
36.7, 2.446, 23
38.6, 2.331, 42
45.2, 2.006, 23
53.0, 1.727, 28
63.5, 1.466, 14
67.5, 1.387, 17
72.6, 1.302, 14
87.2, 1.117, 12